No. 1
Th2Si4TcPt3: theoretical PXRD pattern (copper Kα), based on a DFT-relaxed cell (GGA-PBE, Alexandria).

Main lines, low angle first (2θ = 10–90°):
| d/Å | 2θ/deg | Rel. int. |
| --- | --- | --- |
| 3.227 | 27.6 | 34 |
| 3.012 | 29.7 | 35 |
| 2.881 | 31.0 | 47 |
| 2.606 | 34.4 | 100 |
| 2.572 | 34.9 | 96 |
| 2.130 | 42.4 | 71 |
| 1.793 | 50.9 | 29 |
| 1.649 | 55.7 | 52 |

Structural model:
```
Th2Si4TcPt3
1.0
4.2597 0.0000 0.0000
0.0000 4.2597 0.0000
0.0000 0.0000 9.8839
Th Si Tc Pt
2 4 1 3
Cartesian
0.0000 2.1298 2.4526
2.1298 0.0000 7.4313
0.0000 0.0000 4.9420
0.0000 2.1298 8.6133
2.1298 0.0000 1.2706
2.1298 2.1298 4.9420
2.1298 2.1298 0.0000
0.0000 0.0000 0.0000
0.0000 2.1298 6.1373
2.1298 0.0000 3.7466
```

=====

No. 2
Ce2PaS5: theoretical PXRD pattern (copper Kα), based on a DFT-relaxed cell (GGA-PBE, Alexandria).

Main lines, low angle first (2θ = 10–90°):
| d/Å | 2θ/deg | Rel. int. |
| --- | --- | --- |
| 3.735 | 23.8 | 44 |
| 3.498 | 25.5 | 100 |
| 3.414 | 26.1 | 86 |
| 3.350 | 26.6 | 67 |
| 2.494 | 36.0 | 66 |
| 2.396 | 37.5 | 34 |
| 1.977 | 45.9 | 59 |
| 1.755 | 52.1 | 30 |

Structural model:
```
Ce2PaS5
1.0
11.8776 0.0000 0.0000
0.0000 8.1130 0.0000
0.0000 0.0000 7.4697
Ce Pa S
8 4 20
Cartesian
2.0987 0.0131 0.2157
2.0987 4.0434 0.2157
3.8401 4.0696 3.9506
3.8401 8.0999 3.9506
8.0375 0.0131 3.5191
8.0375 4.0434 3.5191
9.7789 4.0696 7.2540
9.7789 8.0999 7.2540
0.0976 2.0283 4.2840
5.8413 6.0848 0.5491
6.0364 2.0283 6.9206
11.7801 6.0848 3.1857
0.0171 2.0283 7.1268
1.1170 4.4079 4.9664
1.1170 7.7616 4.9664
2.2293 2.0283 2.5093
2.5525 6.0848 2.2916
3.3863 2.0283 6.0265
3.7095 6.0848 6.2442
4.8218 0.3514 1.2316
4.8218 3.7051 1.2316
5.9217 6.0848 3.3919
5.9560 2.0283 4.0778
7.0559 4.4079 6.2381
7.0559 7.7616 6.2381
8.1681 2.0283 1.2255
8.4913 6.0848 1.4432
9.3251 2.0283 5.1781
9.6483 6.0848 4.9604
10.7606 0.3514 2.5033
10.7606 3.7051 2.5033
11.8605 6.0848 0.3429
```

=====

No. 3
Tb8AlSe6: theoretical PXRD pattern (copper Kα), based on a DFT-relaxed cell (GGA-PBE, Alexandria).

Main lines, low angle first (2θ = 10–90°):
| d/Å | 2θ/deg | Rel. int. |
| --- | --- | --- |
| 3.215 | 27.8 | 65 |
| 3.053 | 29.3 | 80 |
| 3.033 | 29.4 | 55 |
| 2.631 | 34.1 | 100 |
| 2.540 | 35.3 | 43 |
| 2.214 | 40.8 | 65 |
| 1.865 | 48.8 | 43 |
| 1.245 | 76.5 | 30 |

Structural model:
```
Tb8AlSe6
1.0
10.5751 0.0000 0.0000
-5.2875 9.1583 0.0000
0.0000 0.0000 4.0491
Tb Al Se
8 1 6
Cartesian
-3.4422 6.5837 1.0128
1.3069 2.8854 1.0128
3.1523 0.3109 3.0363
0.0000 6.1055 3.0360
5.2875 3.0528 1.0131
2.1352 8.8474 1.0128
3.9806 6.2729 3.0363
8.7297 2.5746 3.0363
0.0000 0.0000 2.0245
-1.1698 4.4190 1.0208
-0.8757 7.9619 1.0208
3.2420 3.2225 3.0283
2.0455 5.9357 1.0208
6.1633 1.1964 3.0283
6.4573 4.7393 3.0283
```